Computed XRD peak list
Compound: NaCoPO
Radiation: copper Kα
Structure: a structure optimized by DFT (GGA+U)

Atomic structure:
a b c (Å): 3.055 6.853 6.147
angles (deg): 90.00 90.00 90.00
Space group Pmc2_1 (No. 26)
Unique sites:
1 Na 0.000 0.116 0.000 (multiplicity 2)
2 Co 0.500 0.318 0.418 (multiplicity 2)
3 P 0.500 0.395 0.764 (multiplicity 2)
4 O 0.000 0.173 0.351 (multiplicity 2)

Principal peaks in the range 10 to 90 degrees two-theta, in order of rising 2θ:
2θ 12.92, I 39, (0 1 0)
2θ 19.40, I 100, (0 1 1)
2θ 29.05, I 53, (0 0 2)
2θ 29.85, I 53, (0 2 1)
2θ 32.08, I 77, (1 1 0)
2θ 35.33, I 62, (1 1 1)
2θ 42.22, I 24, (0 3 1)
2θ 46.24, I 31, (0 1 3)
2θ 49.84, I 36, (1 3 0)
2θ 55.66, I 38, (1 1 3)
2θ 60.77, I 26, (1 2 3)
2θ 64.14, I 24, (1 4 1)